# 1
Diffraction record for KUGa2I8. The powder XRD pattern is theoretical, not measured: it uses the GGA-PBE geometry in Alexandria and λ = 1.5418 Å (Cu Kα).

Peak list (12 most intense, 10° ≤ 2θ ≤ 90°, in order of falling intensity)
d/Å	I (rel.)
3.633	100.0
2.336	59.6
2.763	55.1
3.656	54.6
6.190	53.6
3.526	51.8
2.783	40.2
2.461	36.4
5.916	35.6
3.485	34.9
5.383	33.4
5.458	27.3

Lattice parameters (Å, degrees): 7.4016 7.9604 9.8466 90.05 90.12 90.79
Fractional coordinates of all 12 atoms:
K 0.0000 0.0000 0.0000
U 0.0000 0.0000 0.5000
Ga 0.4995 0.5000 0.7784
Ga 0.5005 0.5000 0.2216
I 0.2169 0.6970 0.4994
I 0.2408 0.1493 0.2916
I 0.2418 0.1481 0.7094
I 0.2746 0.6453 0.0001
I 0.7254 0.3547 0.9999
I 0.7582 0.8519 0.2906
I 0.7592 0.8507 0.7084
I 0.7831 0.3030 0.5006

=====

# 2
Diffraction record for CaCo2PH. The powder XRD pattern is theoretical, not measured: it uses the GGA-PBE geometry in Alexandria and λ = 1.5418 Å (Cu Kα).

Peak list (12 most intense, 10° ≤ 2θ ≤ 90°, in order of falling intensity)
d/Å	I (rel.)
2.464	100.0
2.361	79.9
5.112	70.7
1.846	57.6
2.026	52.2
2.384	47.9
1.784	38.2
1.977	36.0
2.309	30.3
1.339	24.2
2.779	22.8
1.383	17.9

Lattice parameters (Å, degrees): 5.4138 5.4138 6.6228 90.00 90.00 141.53
Fractional coordinates of all 10 atoms:
Ca 0.0497 0.9503 0.7500
Ca 0.9503 0.0497 0.2500
Co 0.3294 0.6706 0.5578
Co 0.3294 0.6706 0.9422
Co 0.6706 0.3294 0.0578
Co 0.6706 0.3294 0.4422
P 0.2257 0.7743 0.2500
P 0.7743 0.2257 0.7500
H 0.5000 0.5000 0.0000
H 0.5000 0.5000 0.5000

=====

# 3
Diffraction record for ZrVIr2. The powder XRD pattern is theoretical, not measured: it uses the GGA-PBE geometry in Alexandria and λ = 1.5418 Å (Cu Kα).

Peak list (12 most intense, 10° ≤ 2θ ≤ 90°, in order of falling intensity)
d/Å	I (rel.)
2.294	100.0
2.088	44.8
1.242	27.8
2.953	23.6
1.476	14.7
3.645	13.2
2.737	12.5
1.584	12.0
1.307	11.7
2.430	10.9
1.373	10.9
1.876	10.1

Lattice parameters (Å, degrees): 2.9528 2.9528 7.2905 90.00 90.00 90.00
Fractional coordinates of all 4 atoms:
Zr 0.0000 0.0000 0.0000
V 0.0000 0.0000 0.5000
Ir 0.5000 0.5000 0.2880
Ir 0.5000 0.5000 0.7120

=====

# 4
Diffraction record for TbPr7Er12. The powder XRD pattern is theoretical, not measured: it uses the GGA-PBE geometry in Alexandria and λ = 1.5418 Å (Cu Kα).

Peak list (12 most intense, 10° ≤ 2θ ≤ 90°, in order of falling intensity)
d/Å	I (rel.)
2.833	100.0
2.712	61.8
2.822	48.6
2.915	43.0
3.104	26.4
1.662	25.6
1.806	22.3
2.756	21.6
2.470	19.1
1.574	19.1
2.155	15.0
3.200	14.8

Lattice parameters (Å, degrees): 8.7877 8.7877 8.7877 85.94 85.94 85.94
Fractional coordinates of all 20 atoms:
Tb 0.0000 0.0000 0.0000
Pr 0.0805 0.1570 0.3984
Pr 0.1570 0.3984 0.0805
Pr 0.3984 0.0805 0.1570
Pr 0.5000 0.5000 0.5000
Pr 0.6016 0.9195 0.8430
Pr 0.8430 0.6016 0.9195
Pr 0.9195 0.8430 0.6016
Er 0.1358 0.4970 0.6164
Er 0.1441 0.7472 0.2732
Er 0.2528 0.7268 0.8559
Er 0.2732 0.1441 0.7472
Er 0.3836 0.8642 0.5030
Er 0.4970 0.6164 0.1358
Er 0.5030 0.3836 0.8642
Er 0.6164 0.1358 0.4970
Er 0.7268 0.8559 0.2528
Er 0.7472 0.2732 0.1441
Er 0.8559 0.2528 0.7268
Er 0.8642 0.5030 0.3836

=====

# 5
Diffraction record for Pr3YTh2Sb6. The powder XRD pattern is theoretical, not measured: it uses the GGA-PBE geometry in Alexandria and λ = 1.5418 Å (Cu Kα).

Peak list (12 most intense, 10° ≤ 2θ ≤ 90°, in order of falling intensity)
d/Å	I (rel.)
3.193	100.0
2.260	51.3
2.254	25.5
1.845	20.8
1.429	17.8
1.427	17.7
1.597	12.9
1.305	10.9
1.304	8.7
1.839	6.8
1.301	6.5
3.687	3.6

Lattice parameters (Å, degrees): 10.1043 10.1043 9.0275 103.14 103.14 25.84
Fractional coordinates of all 12 atoms:
Pr 0.0000 0.0000 0.0000
Pr 0.3331 0.3331 0.6657
Pr 0.6669 0.6669 0.3343
Y 0.0000 0.0000 0.5000
Th 0.3352 0.3352 0.1692
Th 0.6648 0.6648 0.8308
Sb 0.1639 0.1639 0.5839
Sb 0.1680 0.1680 0.0813
Sb 0.4999 0.4999 0.2570
Sb 0.5001 0.5001 0.7430
Sb 0.8320 0.8320 0.9187
Sb 0.8361 0.8361 0.4161

=====

# 6
Diffraction record for Ti4IrN. The powder XRD pattern is theoretical, not measured: it uses the GGA-PBE geometry in Alexandria and λ = 1.5418 Å (Cu Kα).

Peak list (12 most intense, 10° ≤ 2θ ≤ 90°, in order of falling intensity)
d/Å	I (rel.)
2.304	100.0
5.916	82.1
3.122	65.8
3.870	64.2
3.675	46.0
2.350	37.6
2.088	36.6
2.195	36.2
2.058	30.7
1.838	22.7
1.756	21.9
1.303	21.7

Lattice parameters (Å, degrees): 4.1758 7.7394 5.9161 90.00 90.00 90.00
Fractional coordinates of all 12 atoms:
Ti 0.2500 0.0506 0.2015
Ti 0.2500 0.2500 0.7431
Ti 0.2500 0.4494 0.2015
Ti 0.2500 0.7500 0.5687
Ti 0.7500 0.2500 0.4313
Ti 0.7500 0.5506 0.7985
Ti 0.7500 0.7500 0.2569
Ti 0.7500 0.9494 0.7985
Ir 0.2500 0.7500 0.0231
Ir 0.7500 0.2500 0.9769
N 0.2500 0.2500 0.4140
N 0.7500 0.7500 0.5860

=====

# 7
Diffraction record for Nd2CdIr9. The powder XRD pattern is theoretical, not measured: it uses the GGA-PBE geometry in Alexandria and λ = 1.5418 Å (Cu Kα).

Peak list (12 most intense, 10° ≤ 2θ ≤ 90°, in order of falling intensity)
d/Å	I (rel.)
2.283	100.0
2.115	50.2
4.539	34.0
1.329	32.4
2.294	30.3
2.228	29.1
1.452	24.2
1.972	23.6
2.149	22.6
1.142	21.6
2.659	19.2
2.705	17.8

Lattice parameters (Å, degrees): 9.4243 9.4243 9.4243 32.78 32.78 32.78
Fractional coordinates of all 12 atoms:
Nd 0.1370 0.1370 0.1370
Nd 0.8630 0.8630 0.8630
Cd 0.0000 0.0000 0.0000
Ir 0.0831 0.5802 0.5802
Ir 0.3326 0.3326 0.3326
Ir 0.4198 0.4198 0.9169
Ir 0.4198 0.9169 0.4198
Ir 0.5000 0.5000 0.5000
Ir 0.5802 0.0831 0.5802
Ir 0.5802 0.5802 0.0831
Ir 0.6674 0.6674 0.6674
Ir 0.9169 0.4198 0.4198

=====

# 8
Diffraction record for ErAl10Ru2. The powder XRD pattern is theoretical, not measured: it uses the GGA-PBE geometry in Alexandria and λ = 1.5418 Å (Cu Kα).

Peak list (12 most intense, 10° ≤ 2θ ≤ 90°, in order of falling intensity)
d/Å	I (rel.)
2.229	100.0
3.222	56.0
2.266	53.7
5.110	36.6
3.184	35.2
2.615	34.0
2.273	33.7
5.450	33.6
2.284	32.6
3.401	28.8
2.451	28.7
6.792	26.2

Lattice parameters (Å, degrees): 6.8389 6.8389 9.1341 90.00 90.00 96.70
Fractional coordinates of all 26 atoms:
Er 0.1284 0.8716 0.7500
Er 0.8716 0.1284 0.2500
Al 0.1430 0.4136 0.7500
Al 0.1555 0.8445 0.1002
Al 0.1555 0.8445 0.3998
Al 0.2187 0.4796 0.2500
Al 0.2246 0.2246 0.0000
Al 0.2246 0.2246 0.5000
Al 0.3767 0.6233 0.5480
Al 0.3767 0.6233 0.9520
Al 0.4136 0.1430 0.2500
Al 0.4796 0.2187 0.7500
Al 0.5204 0.7813 0.2500
Al 0.5864 0.8570 0.7500
Al 0.6233 0.3767 0.0480
Al 0.6233 0.3767 0.4520
Al 0.7754 0.7754 0.0000
Al 0.7754 0.7754 0.5000
Al 0.7813 0.5204 0.7500
Al 0.8445 0.1555 0.6002
Al 0.8445 0.1555 0.8998
Al 0.8570 0.5864 0.2500
Ru 0.0000 0.5000 0.0000
Ru 0.0000 0.5000 0.5000
Ru 0.5000 0.0000 0.0000
Ru 0.5000 0.0000 0.5000

=====

# 9
Diffraction record for Na2H7. The powder XRD pattern is theoretical, not measured: it uses the GGA-PBE geometry in Alexandria and λ = 1.5418 Å (Cu Kα).

Peak list (9 most intense, 10° ≤ 2θ ≤ 90°, in order of falling intensity)
d/Å	I (rel.)
3.326	100.0
2.352	99.6
1.920	39.3
1.487	38.6
1.358	26.8
1.663	18.4
1.109	15.5
1.176	8.4
3.841	4.0

Lattice parameters (Å, degrees): 4.7038 4.7038 4.7038 60.00 60.00 60.00
Fractional coordinates of all 9 atoms:
Na 0.2500 0.2500 0.2500
Na 0.7500 0.7500 0.7500
H 0.0000 0.0000 0.0000
H 0.1875 0.1875 0.8125
H 0.1875 0.8125 0.1875
H 0.1875 0.8125 0.8125
H 0.8125 0.1875 0.1875
H 0.8125 0.1875 0.8125
H 0.8125 0.8125 0.1875

=====

# 10
Diffraction record for SrLi4Np3O12. The powder XRD pattern is theoretical, not measured: it uses the GGA-PBE geometry in Alexandria and λ = 1.5418 Å (Cu Kα).

Peak list (12 most intense, 10° ≤ 2θ ≤ 90°, in order of falling intensity)
d/Å	I (rel.)
4.164	100.0
5.631	67.1
3.094	54.4
2.241	40.2
3.348	27.3
2.563	27.0
2.815	17.2
1.937	15.1
1.711	15.0
1.609	13.8
1.664	13.1
2.411	12.9

Lattice parameters (Å, degrees): 7.0281 7.0281 7.0281 106.49 106.49 106.49
Fractional coordinates of all 20 atoms:
Sr 0.0000 0.0000 0.0000
Li 0.0637 0.5000 0.9363
Li 0.5000 0.5000 0.5000
Li 0.5000 0.9363 0.0637
Li 0.9363 0.0637 0.5000
Np 0.0000 0.5572 0.4428
Np 0.4428 0.0000 0.5572
Np 0.5572 0.4428 0.0000
O 0.0369 0.6484 0.7501
O 0.1064 0.8936 0.5000
O 0.2499 0.3516 0.9631
O 0.3344 0.6656 0.5000
O 0.3516 0.9631 0.2499
O 0.5000 0.1064 0.8936
O 0.5000 0.3344 0.6656
O 0.6484 0.7501 0.0369
O 0.6656 0.5000 0.3344
O 0.7501 0.0369 0.6484
O 0.8936 0.5000 0.1064
O 0.9631 0.2499 0.3516

=====

# 11
Diffraction record for Ca4BiSe2Br. The powder XRD pattern is theoretical, not measured: it uses the GGA-PBE geometry in Alexandria and λ = 1.5418 Å (Cu Kα).

Peak list (12 most intense, 10° ≤ 2θ ≤ 90°, in order of falling intensity)
d/Å	I (rel.)
3.077	100.0
2.184	75.1
3.562	56.9
3.100	51.0
1.781	39.4
2.176	37.2
5.512	30.9
1.258	24.6
1.857	20.1
1.384	16.8
1.378	16.6
1.376	16.5

Lattice parameters (Å, degrees): 6.1538 6.1538 12.4001 90.00 90.00 90.00
Fractional coordinates of all 16 atoms:
Ca 0.0000 0.0000 0.2465
Ca 0.0000 0.0000 0.7535
Ca 0.0000 0.5000 0.0000
Ca 0.0000 0.5000 0.5000
Ca 0.5000 0.0000 0.0000
Ca 0.5000 0.0000 0.5000
Ca 0.5000 0.5000 0.2535
Ca 0.5000 0.5000 0.7465
Bi 0.0000 0.0000 0.0000
Bi 0.5000 0.5000 0.5000
Se 0.0000 0.5000 0.2500
Se 0.0000 0.5000 0.7500
Se 0.5000 0.0000 0.2500
Se 0.5000 0.0000 0.7500
Br 0.0000 0.0000 0.5000
Br 0.5000 0.5000 0.0000

=====

# 12
Diffraction record for Na8SiTe6. The powder XRD pattern is theoretical, not measured: it uses the GGA-PBE geometry in Alexandria and λ = 1.5418 Å (Cu Kα).

Peak list (12 most intense, 10° ≤ 2θ ≤ 90°, in order of falling intensity)
d/Å	I (rel.)
3.799	100.0
3.870	61.5
2.235	61.2
3.616	60.8
3.702	57.7
2.465	52.6
4.471	37.9
3.785	36.3
2.421	27.2
2.211	21.3
2.561	20.5
2.432	19.3

Lattice parameters (Å, degrees): 8.8421 9.1627 12.5655 90.00 90.00 90.00
Fractional coordinates of all 30 atoms:
Na 0.0000 0.1245 0.0000
Na 0.0000 0.2405 0.4486
Na 0.1763 0.6111 0.1146
Na 0.1964 0.5779 0.8108
Na 0.2374 0.9345 0.7619
Na 0.2626 0.0655 0.2619
Na 0.3036 0.4221 0.3108
Na 0.3237 0.3889 0.6146
Na 0.5000 0.7595 0.9486
Na 0.5000 0.8755 0.5000
Na 0.6763 0.3889 0.6146
Na 0.6964 0.4221 0.3108
Na 0.7374 0.0655 0.2619
Na 0.7626 0.9345 0.7619
Na 0.8036 0.5779 0.8108
Na 0.8237 0.6111 0.1146
Si 0.0000 0.7458 0.4637
Si 0.5000 0.2542 0.9637
Te 0.0000 0.3009 0.2121
Te 0.0000 0.5204 0.5872
Te 0.0000 0.7843 0.9433
Te 0.0000 0.9684 0.5813
Te 0.2363 0.7471 0.3487
Te 0.2637 0.2529 0.8487
Te 0.5000 0.0316 0.0813
Te 0.5000 0.2157 0.4433
Te 0.5000 0.4796 0.0872
Te 0.5000 0.6991 0.7121
Te 0.7363 0.2529 0.8487
Te 0.7637 0.7471 0.3487

=====

Q: Which formula does entry 5 have?
A: Pr3YTh2Sb6

=====

Q: Number 2 is which compound?
A: CaCo2PH

=====

Please write out number 11 again, unchanged.
Diffraction record for Ca4BiSe2Br. The powder XRD pattern is theoretical, not measured: it uses the GGA-PBE geometry in Alexandria and λ = 1.5418 Å (Cu Kα).

Peak list (12 most intense, 10° ≤ 2θ ≤ 90°, in order of falling intensity)
d/Å	I (rel.)
3.077	100.0
2.184	75.1
3.562	56.9
3.100	51.0
1.781	39.4
2.176	37.2
5.512	30.9
1.258	24.6
1.857	20.1
1.384	16.8
1.378	16.6
1.376	16.5

Lattice parameters (Å, degrees): 6.1538 6.1538 12.4001 90.00 90.00 90.00
Fractional coordinates of all 16 atoms:
Ca 0.0000 0.0000 0.2465
Ca 0.0000 0.0000 0.7535
Ca 0.0000 0.5000 0.0000
Ca 0.0000 0.5000 0.5000
Ca 0.5000 0.0000 0.0000
Ca 0.5000 0.0000 0.5000
Ca 0.5000 0.5000 0.2535
Ca 0.5000 0.5000 0.7465
Bi 0.0000 0.0000 0.0000
Bi 0.5000 0.5000 0.5000
Se 0.0000 0.5000 0.2500
Se 0.0000 0.5000 0.7500
Se 0.5000 0.0000 0.2500
Se 0.5000 0.0000 0.7500
Br 0.0000 0.0000 0.5000
Br 0.5000 0.5000 0.0000